For RbNa2In2Sb2, a GGA-PBE-relaxed structure gives the simulated X-ray diffraction stick pattern in this record (Cu Ka).
Neutral-atom scattering factors, no anomalous dispersion.

Largest 8 diffraction maxima, sorted by position, 5° ≤ 2θ ≤ 70°:
2θ 18.08, rel. 23, (0 0 6); 2θ 22.93, rel. 81, (1 0 4); 2θ 27.26, rel. 21, (0 0 9); 2θ 28.87, rel. 30, (1 0 7); 2θ 34.02, rel. 100, (1 1 0); 2θ 36.31, rel. 38, (1 0 10); 2θ 38.79, rel. 20, (1 1 6); 2θ 44.13, rel. 34, (1 1 9)

Cell and atoms:
abc: 5.2705 5.2705 29.4381
angles: 90.00 90.00 120.00
Space group R-3m (No. 166, hexagonal axes)
Inequivalent atoms, fractional coordinates:
Rb 0.0000 0.0000 0.0000
Na 0.0000 0.0000 0.1397
In 0.0000 0.0000 0.4459
Sb 0.0000 0.0000 0.2465

---

For TiCo5H6, a GGA-PBE-relaxed structure gives the simulated X-ray diffraction stick pattern in this record (Cu Ka).
Neutral-atom scattering factors, no anomalous dispersion.

Largest 7 diffraction maxima, sorted by position, 5° ≤ 2θ ≤ 70°:
2θ 20.57, rel. 1, (0 0 1); 2θ 23.39, rel. 1, (1 1 0); 2θ 26.23, rel. 1, (1 1 -1); 2θ 30.49, rel. 1, (0 2 1); 2θ 41.58, rel. 100, (1 3 -1); 2θ 41.81, rel. 98, (2 0 0); 2θ 48.53, rel. 100, (2 0 -2)

Cell and atoms:
abc: 4.5942 7.9876 4.5865
angles: 90.00 109.72 90.00
Space group C2/m (No. 12)
Inequivalent atoms, fractional coordinates:
Ti 0.0000 0.0000 0.0000
Co 0.0000 0.1618 0.5000
Co 0.0000 0.3350 0.0000
Co 0.0000 0.5000 0.5000
H 0.2232 0.5000 0.2583
H 0.2352 0.3129 0.7513

---

For V5Tc2W, a GGA-PBE-relaxed structure gives the simulated X-ray diffraction stick pattern in this record (Cu Ka).
Neutral-atom scattering factors, no anomalous dispersion.

Largest 8 diffraction maxima, sorted by position, 5° ≤ 2θ ≤ 70°:
2θ 17.67, rel. 11, (0 0 2); 2θ 27.79, rel. 15, (1 1 -1); 2θ 28.83, rel. 12, (1 1 1); 2θ 40.82, rel. 19, (2 1 0); 2θ 41.52, rel. 100, (0 2 0); 2θ 42.33, rel. 10, (2 0 -3); 2θ 42.59, rel. 20, (2 1 1); 2θ 43.37, rel. 13, (2 1 -2)

Cell and atoms:
abc: 5.1542 4.3536 10.0840
angles: 90.00 95.39 90.00
Space group P2/m (No. 10)
Inequivalent atoms, fractional coordinates:
V 0.0000 0.0000 0.0000
V 0.1246 0.5000 0.3738
V 0.1396 0.0000 0.7516
V 0.3029 0.5000 0.8771
V 0.3603 0.0000 0.2473
V 0.5000 0.0000 0.5000
Tc 0.1926 0.5000 0.1248
Tc 0.3755 0.5000 0.6272
W 0.0000 0.0000 0.5000
W 0.5000 0.0000 0.0000

---

For PRuCS2, a GGA-PBE-relaxed structure gives the simulated X-ray diffraction stick pattern in this record (Cu Ka).
Neutral-atom scattering factors, no anomalous dispersion.

Largest 8 diffraction maxima, sorted by position, 5° ≤ 2θ ≤ 70°:
2θ 21.97, rel. 22, (1 0 0); 2θ 31.27, rel. 16, (1 1 0); 2θ 32.05, rel. 34, (1 0 1); 2θ 39.20, rel. 100, (1 1 1); 2θ 44.80, rel. 41, (2 0 0); 2θ 47.09, rel. 17, (0 0 2); 2θ 56.14, rel. 13, (2 1 1); 2θ 67.02, rel. 23, (2 0 2)

Cell and atoms:
abc: 4.0458 4.0458 3.8600
angles: 90.00 90.00 90.00
Space group P4/mmm (No. 123)
Inequivalent atoms, fractional coordinates:
P 0.0000 0.0000 0.0000
Ru 0.5000 0.5000 0.0000
C 0.0000 0.0000 0.5000
S 0.0000 0.5000 0.5000

---

For Sm2DyY7, a GGA-PBE-relaxed structure gives the simulated X-ray diffraction stick pattern in this record (Cu Ka).
Neutral-atom scattering factors, no anomalous dispersion.

Largest 8 diffraction maxima, sorted by position, 5° ≤ 2θ ≤ 70°:
2θ 30.05, rel. 53, (2 4 0); 2θ 30.38, rel. 57, (0 10 0); 2θ 30.62, rel. 100, (1 3 1); 2θ 31.62, rel. 23, (0 6 1); 2θ 33.05, rel. 49, (2 6 0); 2θ 36.33, rel. 53, (1 7 1); 2θ 50.53, rel. 22, (3 3 1); 2θ 56.64, rel. 19, (4 0 0)

Cell and atoms:
abc: 6.5029 29.4176 3.4654
angles: 90.00 90.00 90.00
Space group Cmmm (No. 65)
Inequivalent atoms, fractional coordinates:
Sm 0.0000 0.2069 0.0000
Dy 0.0000 0.0000 0.5000
Y 0.0000 0.3115 0.5000
Y 0.0000 0.5000 0.0000
Y 0.2431 0.0988 0.0000

---

For NbCrFe2, a GGA-PBE-relaxed structure gives the simulated X-ray diffraction stick pattern in this record (Cu Ka).
Neutral-atom scattering factors, no anomalous dispersion.

Largest 8 diffraction maxima, sorted by position, 5° ≤ 2θ ≤ 70°:
2θ 21.61, rel. 7, (1 0 0); 2θ 30.75, rel. 2, (1 1 0); 2θ 36.53, rel. 4, (1 0 1); 2θ 42.84, rel. 100, (1 1 1); 2θ 44.04, rel. 46, (2 0 0); 2θ 58.51, rel. 2, (2 1 1); 2θ 60.31, rel. 8, (0 0 2); 2θ 64.04, rel. 14, (2 2 0)

Cell and atoms:
abc: 4.1123 4.1123 3.0694
angles: 90.00 90.00 90.00
Space group P4/mmm (No. 123)
Inequivalent atoms, fractional coordinates:
Nb 0.0000 0.0000 0.0000
Cr 0.5000 0.5000 0.0000
Fe 0.0000 0.5000 0.5000

---

For LiPr3Zn2, a GGA-PBE-relaxed structure gives the simulated X-ray diffraction stick pattern in this record (Cu Ka).
Neutral-atom scattering factors, no anomalous dispersion.

Largest 8 diffraction maxima, sorted by position, 5° ≤ 2θ ≤ 70°:
2θ 7.85, rel. 12, (0 0 1); 2θ 23.66, rel. 29, (1 0 0); 2θ 33.71, rel. 100, (1 1 0); 2θ 41.60, rel. 8, (1 1 3); 2θ 48.38, rel. 12, (2 0 0); 2θ 48.48, rel. 5, (0 0 6); 2θ 54.57, rel. 11, (2 1 0); 2θ 60.29, rel. 35, (2 1 3)

Cell and atoms:
abc: 3.7627 3.7627 11.2656
angles: 90.00 90.00 90.00
Space group P4/mmm (No. 123)
Inequivalent atoms, fractional coordinates:
Li 0.0000 0.0000 0.0000
Pr 0.5000 0.5000 0.1816
Pr 0.5000 0.5000 0.5000
Zn 0.0000 0.0000 0.3355

---

For Tm5Tc2Hg2, a GGA-PBE-relaxed structure gives the simulated X-ray diffraction stick pattern in this record (Cu Ka).
Neutral-atom scattering factors, no anomalous dispersion.

Largest 8 diffraction maxima, sorted by position, 5° ≤ 2θ ≤ 70°:
2θ 31.74, rel. 56, (3 1 2); 2θ 32.23, rel. 51, (5 1 1); 2θ 32.60, rel. 100, (4 0 2); 2θ 32.93, rel. 98, (4 2 0); 2θ 34.72, rel. 71, (0 2 2); 2θ 35.17, rel. 72, (4 2 1); 2θ 39.09, rel. 42, (1 1 3); 2θ 39.65, rel. 38, (1 3 1)

Cell and atoms:
abc: 16.4708 7.2449 7.3719
angles: 90.00 90.00 90.00
Space group Cmce (No. 64)
Inequivalent atoms, fractional coordinates:
Tm 0.0000 0.0000 0.0000
Tm 0.1251 0.1790 0.3208
Tc 0.0000 0.1138 0.6199
Hg 0.2216 0.0000 0.0000

---

For Y4Er, a GGA-PBE-relaxed structure gives the simulated X-ray diffraction stick pattern in this record (Cu Ka).
Neutral-atom scattering factors, no anomalous dispersion.

Largest 8 diffraction maxima, sorted by position, 5° ≤ 2θ ≤ 70°:
2θ 30.70, rel. 100, (1 1 1); 2θ 31.38, rel. 97, (1 5 0); 2θ 32.87, rel. 44, (2 0 0); 2θ 33.26, rel. 45, (0 4 1); 2θ 41.30, rel. 18, (0 6 1); 2θ 47.46, rel. 33, (2 4 1); 2θ 58.67, rel. 18, (1 9 1); 2θ 61.94, rel. 27, (1 5 2)

Cell and atoms:
abc: 5.4494 16.7271 3.5218
angles: 90.00 90.00 90.00
Space group Cmmm (No. 65)
Inequivalent atoms, fractional coordinates:
Y 0.0000 0.1087 0.0000
Y 0.0000 0.3009 0.5000
Er 0.0000 0.5000 0.5000

---

For CsSe2NCl, a GGA-PBE-relaxed structure gives the simulated X-ray diffraction stick pattern in this record (Cu Ka).
Neutral-atom scattering factors, no anomalous dispersion.

Largest 8 diffraction maxima, sorted by position, 5° ≤ 2θ ≤ 70°:
2θ 23.02, rel. 58, (1 0 1); 2θ 28.98, rel. 100, (1 1 1); 2θ 30.23, rel. 36, (0 0 2); 2θ 35.14, rel. 53, (2 0 0); 2θ 42.44, rel. 22, (2 1 1); 2θ 47.03, rel. 40, (2 0 2); 2θ 50.55, rel. 20, (2 2 0); 2θ 59.33, rel. 26, (3 1 1)

Cell and atoms:
abc: 5.1059 5.1059 5.9121
angles: 90.00 90.00 90.00
Space group P4/mmm (No. 123)
Inequivalent atoms, fractional coordinates:
Cs 0.0000 0.0000 0.0000
Se 0.0000 0.5000 0.5000
N 0.5000 0.5000 0.0000
Cl 0.5000 0.5000 0.5000

---

For Ac2Al3Hg5, a GGA-PBE-relaxed structure gives the simulated X-ray diffraction stick pattern in this record (Cu Ka).
Neutral-atom scattering factors, no anomalous dispersion.

Largest 8 diffraction maxima, sorted by position, 5° ≤ 2θ ≤ 70°:
2θ 30.43, rel. 31, (3 2 1); 2θ 31.18, rel. 100, (2 0 2); 2θ 38.20, rel. 47, (0 4 2); 2θ 44.55, rel. 20, (5 2 1); 2θ 49.60, rel. 15, (3 2 3); 2θ 55.13, rel. 16, (0 0 4); 2θ 60.10, rel. 16, (5 2 3); 2θ 64.70, rel. 27, (2 4 4)

Cell and atoms:
abc: 11.2722 13.3188 6.6675
angles: 90.00 90.00 90.00
Space group Ibam (No. 72)
Inequivalent atoms, fractional coordinates:
Ac 0.2424 0.1296 0.0000
Al 0.0000 0.5000 0.2500
Al 0.1236 0.1282 0.5000
Hg 0.0000 0.0000 0.2500
Hg 0.0000 0.2555 0.2500
Hg 0.1457 0.3921 0.0000

---

For CoPt3, a GGA-PBE-relaxed structure gives the simulated X-ray diffraction stick pattern in this record (Cu Ka).
Neutral-atom scattering factors, no anomalous dispersion.

Largest 8 diffraction maxima, sorted by position, 5° ≤ 2θ ≤ 70°:
2θ 19.76, rel. 12, (1 1 0); 2θ 22.84, rel. 4, (0 2 0); 2θ 32.55, rel. 4, (2 0 0); 2θ 38.35, rel. 7, (1 3 0); 2θ 40.14, rel. 100, (2 2 0); 2θ 46.68, rel. 49, (2 0 1); 2θ 51.16, rel. 3, (3 1 0); 2θ 68.16, rel. 32, (4 0 0)

Cell and atoms:
abc: 5.4998 7.7877 2.7518
angles: 90.00 90.00 90.00
Space group Cmmm (No. 65)
Inequivalent atoms, fractional coordinates:
Co 0.0000 0.0000 0.0000
Pt 0.0000 0.5000 0.0000
Pt 0.2500 0.2500 0.5000

---

Please write out number 1 again, unchanged.
For RbNa2In2Sb2, a GGA-PBE-relaxed structure gives the simulated X-ray diffraction stick pattern in this record (Cu Ka).
Neutral-atom scattering factors, no anomalous dispersion.

Largest 8 diffraction maxima, sorted by position, 5° ≤ 2θ ≤ 70°:
2θ 18.08, rel. 23, (0 0 6); 2θ 22.93, rel. 81, (1 0 4); 2θ 27.26, rel. 21, (0 0 9); 2θ 28.87, rel. 30, (1 0 7); 2θ 34.02, rel. 100, (1 1 0); 2θ 36.31, rel. 38, (1 0 10); 2θ 38.79, rel. 20, (1 1 6); 2θ 44.13, rel. 34, (1 1 9)

Cell and atoms:
abc: 5.2705 5.2705 29.4381
angles: 90.00 90.00 120.00
Space group R-3m (No. 166, hexagonal axes)
Inequivalent atoms, fractional coordinates:
Rb 0.0000 0.0000 0.0000
Na 0.0000 0.0000 0.1397
In 0.0000 0.0000 0.4459
Sb 0.0000 0.0000 0.2465